Structure and simulated powder X-ray diffraction pattern of LiMnSbO4 (the PBE+U geometry in the Materials Project; λ = 1.5418 Å (Cu Kα)).
Peak positions follow from Bragg's law for the DFT cell and can differ from measured ones.

Largest 12 diffraction maxima, by angle, 2θ from 10° to 80°:
| 2theta | I_rel |
| --- | --- |
| 17.21 | 100 |
| 19.63 | 7 |
| 32.97 | 16 |
| 33.55 | 35 |
| 34.81 | 11 |
| 34.92 | 11 |
| 39.86 | 15 |
| 40.79 | 29 |
| 44.17 | 10 |
| 53.75 | 12 |
| 58.35 | 18 |
| 61.00 | 7 |

Crystal structure
Lattice parameters (Å, degrees): 6.327 6.327 6.327 120.88 120.58 88.74
Sites, in units of the cell vectors:
1 Li 0.348 0.098 0.250
2 Li 0.652 0.902 0.750
3 Mn 0.000 0.500 0.500
4 Mn 0.500 0.500 0.000
5 Sb 0.000 0.000 0.500
6 Sb 0.000 0.500 0.000
7 O 0.218 0.230 0.512
8 O 0.218 0.706 0.988
9 O 0.219 0.249 0.969
10 O 0.220 0.751 0.469
11 O 0.780 0.249 0.531
12 O 0.781 0.751 0.031
13 O 0.782 0.294 0.012
14 O 0.782 0.770 0.488